For Nd2Al6Ni3, DFT lattice parameters and positions (GGA-PBE) gives the simulated powder X-ray diffraction pattern in this record (Cu Ka).
No peak broadening, texture or thermal motion is included.

Top 10 peaks for 10 to 90 degrees two-theta, in order of rising 2θ:
index, Position (°2θ), I/Imax
1 0 0, 13.55, 26.5
1 1 0, 23.58, 24.6
1 1 1, 32.27, 100.0
2 0 1, 35.14, 17.5
3 0 0, 41.45, 37.6
2 1 1, 42.76, 25.7
0 0 2, 44.27, 16.3
2 2 1, 53.48, 20.6
3 0 2, 62.25, 21.9
4 1 1, 69.84, 22.8

Structural model:
abc: 7.5471 7.5471 4.0923
angles: 90.00 90.00 120.00
Sites, in units of the cell vectors:
Nd (0.3333, 0.6667, 0.0000)
Nd (0.6667, 0.3333, 0.0000)
Al (0.0000, 0.2987, 0.5000)
Al (0.0000, 0.7975, 0.0000)
Al (0.2025, 0.2025, 0.0000)
Al (0.2987, 0.0000, 0.5000)
Al (0.7013, 0.7013, 0.5000)
Al (0.7975, 0.0000, 0.0000)
Ni (0.0000, 0.6331, 0.5000)
Ni (0.3669, 0.3669, 0.5000)
Ni (0.6331, 0.0000, 0.5000)